(1)
For SiGeRh2, a crystal structure in Alexandria, relaxed with PBE gives the calculated powder X-ray diffraction pattern in this record (Cu Kα (λ = 1.5418 Å)).
Lines closer than 0.1° are merged.

Top 10 peaks for 2θ from 5° to 70°, sorted by position:
- 2θ = 28.17°, rel. 21.4, hkl 0 2 0
- 2θ = 30.27°, rel. 63.4, hkl 2 1 0
- 2θ = 31.95°, rel. 23.1, hkl 0 0 2
- 2θ = 34.33°, rel. 29.1, hkl 2 1 -1
- 2θ = 42.53°, rel. 47.5, hkl 2 2 1
- 2θ = 43.11°, rel. 57.8, hkl 0 2 2
- 2θ = 44.59°, rel. 100.0, hkl 2 1 -2
- 2θ = 45.92°, rel. 26.9, hkl 0 3 1
- 2θ = 51.18°, rel. 32.8, hkl 2 3 0
- 2θ = 55.04°, rel. 20.8, hkl 4 0 0

Cell: 6.6742 6.3366 5.6020 Å, 90.00 90.04 90.00°
Space group P2_1/c (No. 14)
Inequivalent atoms, fractional coordinates:
1 Si 0.1228 0.0563 0.1857
2 Ge 0.3760 0.5790 0.3104
3 Rh 0.1052 0.7041 0.0055
4 Rh 0.3514 0.2000 0.4945

---

(2)
For SiGe2Rh5, a crystal structure in Alexandria, relaxed with PBE gives the calculated powder X-ray diffraction pattern in this record (Cu Kα (λ = 1.5418 Å)).
Lines closer than 0.1° are merged.

Top 10 peaks for 2θ from 5° to 70°, sorted by position:
- 2θ = 32.74°, rel. 28.6, hkl 1 2 1
- 2θ = 38.19°, rel. 36.5, hkl 1 3 1
- 2θ = 38.37°, rel. 27.0, hkl 1 4 0
- 2θ = 40.88°, rel. 100.0, hkl 2 1 1
- 2θ = 41.57°, rel. 82.4, hkl 0 4 1
- 2θ = 42.01°, rel. 33.8, hkl 2 3 0
- 2θ = 43.70°, rel. 25.1, hkl 2 2 1
- 2θ = 45.67°, rel. 49.9, hkl 0 0 2
- 2θ = 61.13°, rel. 13.5, hkl 1 4 2
- 2θ = 63.78°, rel. 19.1, hkl 2 3 2

Cell: 5.4922 10.3791 3.9729 Å, 90.00 90.00 90.00°
Space group Pbam (No. 55)
Inequivalent atoms, fractional coordinates:
1 Si 0.0000 0.0000 0.0000
2 Ge 0.1008 0.3470 0.5000
3 Rh 0.0000 0.5000 0.0000
4 Rh 0.1499 0.7862 0.0000
5 Rh 0.1653 0.1036 0.5000

---

(3)
For Sm3Si2GeRh9, a crystal structure in Alexandria, relaxed with PBE gives the calculated powder X-ray diffraction pattern in this record (Cu Kα (λ = 1.5418 Å)).
Lines closer than 0.1° are merged.

Top 10 peaks for 2θ from 5° to 70°, sorted by position:
- 2θ = 27.86°, rel. 7.6, hkl 1 1 0
- 2θ = 27.97°, rel. 7.8, hkl 0 1 2
- 2θ = 34.32°, rel. 100.0, hkl 0 2 1
- 2θ = 34.51°, rel. 32.9, hkl 0 0 3
- 2θ = 39.89°, rel. 96.1, hkl 2 0 2
- 2θ = 57.56°, rel. 32.1, hkl 2 2 0
- 2θ = 57.81°, rel. 31.9, hkl 0 2 4
- 2θ = 68.75°, rel. 12.7, hkl 4 0 1
- 2θ = 68.87°, rel. 25.4, hkl 2 2 3
- 2θ = 69.10°, rel. 12.7, hkl 2 0 5

Cell: 6.4052 6.4052 7.7974 Å, 90.00 90.00 120.00°
Space group P-3m1 (No. 164)
Inequivalent atoms, fractional coordinates:
1 Sm 0.0000 0.0000 0.0000
2 Sm 0.3333 0.6667 0.6659
3 Si 0.3333 0.6667 0.1603
4 Ge 0.0000 0.0000 0.5000
5 Rh 0.0000 0.5000 0.0000
6 Rh 0.1719 0.3437 0.3312

---

(4)
For SmGeRh4, a crystal structure in Alexandria, relaxed with PBE gives the calculated powder X-ray diffraction pattern in this record (Cu Kα (λ = 1.5418 Å)).
Lines closer than 0.1° are merged.

Top 10 peaks for 2θ from 5° to 70°, sorted by position:
- 2θ = 32.94°, rel. 17.4, hkl 2 1 0
- 2θ = 35.49°, rel. 100.0, hkl 2 1 1
- 2θ = 36.70°, rel. 59.8, hkl 1 1 2
- 2θ = 38.12°, rel. 20.6, hkl 3 0 1
- 2θ = 39.24°, rel. 32.3, hkl 0 0 3
- 2θ = 41.10°, rel. 17.3, hkl 1 0 3
- 2θ = 42.35°, rel. 97.2, hkl 2 1 2
- 2θ = 46.24°, rel. 44.2, hkl 0 2 0
- 2θ = 48.29°, rel. 22.3, hkl 4 0 0
- 2θ = 62.21°, rel. 16.4, hkl 0 2 3

Cell: 7.5383 3.9266 6.8880 Å, 90.00 90.00 90.00°
Space group Pmma (No. 51)
Inequivalent atoms, fractional coordinates:
1 Sm 0.2500 0.0000 0.1443
2 Ge 0.2500 0.0000 0.7207
3 Rh 0.0000 0.0000 0.5000
4 Rh 0.0519 0.5000 0.8033
5 Rh 0.2500 0.5000 0.4511

---

(5)
For SmGe3Rh, a crystal structure in Alexandria, relaxed with PBE gives the calculated powder X-ray diffraction pattern in this record (Cu Kα (λ = 1.5418 Å)).
Lines closer than 0.1° are merged.

Top 10 peaks for 2θ from 5° to 70°, sorted by position:
- 2θ = 21.18°, rel. 22.8, hkl 1 0 1
- 2θ = 26.37°, rel. 33.4, hkl 1 1 1
- 2θ = 30.65°, rel. 25.5, hkl 0 0 2
- 2θ = 34.53°, rel. 22.1, hkl 0 1 2
- 2θ = 35.02°, rel. 68.5, hkl 0 2 1
- 2θ = 37.05°, rel. 100.0, hkl 2 1 1
- 2θ = 37.70°, rel. 29.9, hkl 1 1 2
- 2θ = 46.10°, rel. 43.8, hkl 2 1 2
- 2θ = 57.31°, rel. 22.7, hkl 0 2 3
- 2θ = 66.35°, rel. 21.5, hkl 2 3 2

Cell: 6.0382 5.7050 5.8342 Å, 90.00 90.00 90.00°
Space group Pmn2_1 (No. 31)
Inequivalent atoms, fractional coordinates:
1 Sm 0.0000 0.1436 0.0000
2 Ge 0.0000 0.9104 0.5559
3 Ge 0.2333 0.3213 0.4586
4 Rh 0.0000 0.6175 0.2637

---

(6)
For Sm3Ge2Rh2, a crystal structure in Alexandria, relaxed with PBE gives the calculated powder X-ray diffraction pattern in this record (Cu Kα (λ = 1.5418 Å)).
Lines closer than 0.1° are merged.

Top 10 peaks for 2θ from 5° to 70°, sorted by position:
- 2θ = 29.96°, rel. 27.5, hkl 0 2 3
- 2θ = 32.93°, rel. 56.1, hkl 1 1 4
- 2θ = 33.57°, rel. 53.7, hkl 2 1 0
- 2θ = 33.97°, rel. 57.4, hkl 1 2 3
- 2θ = 34.25°, rel. 24.2, hkl 2 1 1
- 2θ = 34.87°, rel. 47.3, hkl 0 2 4
- 2θ = 37.34°, rel. 73.5, hkl 1 3 0
- 2θ = 39.27°, rel. 100.0, hkl 2 1 3
- 2θ = 40.20°, rel. 36.3, hkl 0 0 6
- 2θ = 48.35°, rel. 23.5, hkl 1 4 0

Cell: 5.6649 7.9828 13.4596 Å, 90.00 90.00 90.00°
Space group Pbcm (No. 57)
Inequivalent atoms, fractional coordinates:
1 Sm 0.1332 0.2457 0.2500
2 Sm 0.3570 0.6063 0.1004
3 Ge 0.1526 0.2500 0.0000
4 Ge 0.3625 0.6077 0.7500
5 Rh 0.1244 0.5385 0.5918

---

(7)
For Sm3Ge5Rh6, a crystal structure in Alexandria, relaxed with PBE gives the calculated powder X-ray diffraction pattern in this record (Cu Kα (λ = 1.5418 Å)).
Lines closer than 0.1° are merged.

Top 10 peaks for 2θ from 5° to 70°, sorted by position:
- 2θ = 34.55°, rel. 28.8, hkl 0 3 3
- 2θ = 35.04°, rel. 35.3, hkl 1 0 3
- 2θ = 35.48°, rel. 100.0, hkl 1 3 2
- 2θ = 42.54°, rel. 22.8, hkl 0 6 0
- 2θ = 42.77°, rel. 10.5, hkl 1 5 1
- 2θ = 44.19°, rel. 31.6, hkl 2 0 0
- 2θ = 56.26°, rel. 10.3, hkl 1 6 3
- 2θ = 57.28°, rel. 18.0, hkl 2 3 3
- 2θ = 63.01°, rel. 14.0, hkl 2 6 0
- 2θ = 65.08°, rel. 17.1, hkl 1 3 6

Cell: 4.0992 12.7482 9.8382 Å, 90.00 90.00 90.00°
Space group Pmmn (No. 59, origin choice 2)
Inequivalent atoms, fractional coordinates:
1 Sm 0.2500 0.0869 0.2478
2 Sm 0.2500 0.7500 0.2461
3 Ge 0.2500 0.0793 0.6481
4 Ge 0.2500 0.6297 0.9849
5 Ge 0.2500 0.7500 0.6263
6 Rh 0.2500 0.0498 0.9011
7 Rh 0.2500 0.2500 0.0102
8 Rh 0.2500 0.2500 0.5151
9 Rh 0.2500 0.5822 0.4950

---

(8)
For Sm3Ge13Rh4, a crystal structure in Alexandria, relaxed with PBE gives the calculated powder X-ray diffraction pattern in this record (Cu Kα (λ = 1.5418 Å)).
Lines closer than 0.1° are merged.

Top 10 peaks for 2θ from 5° to 70°, sorted by position:
- 2θ = 21.88°, rel. 11.5, hkl 2 1 0
- 2θ = 34.19°, rel. 22.2, hkl 2 2 2
- 2θ = 35.63°, rel. 100.0, hkl 3 2 0
- 2θ = 37.03°, rel. 39.7, hkl 3 2 1
- 2θ = 39.69°, rel. 31.9, hkl 4 0 0
- 2θ = 44.61°, rel. 11.5, hkl 4 2 0
- 2θ = 49.13°, rel. 22.3, hkl 4 2 2
- 2θ = 59.31°, rel. 12.9, hkl 4 3 3
- 2θ = 63.08°, rel. 14.3, hkl 5 3 2
- 2θ = 68.51°, rel. 21.0, hkl 6 2 2

Cell: 9.0847 9.0847 9.0847 Å, 90.00 90.00 90.00°
Space group Pm-3n (No. 223)
Inequivalent atoms, fractional coordinates:
1 Sm 0.0000 0.2500 0.5000
2 Ge 0.0000 0.0000 0.0000
3 Ge 0.0000 0.3070 0.1473
4 Rh 0.2500 0.2500 0.2500

---

(9)
For SmGe3Rh5, a crystal structure in Alexandria, relaxed with PBE gives the calculated powder X-ray diffraction pattern in this record (Cu Kα (λ = 1.5418 Å)).
Lines closer than 0.1° are merged.

Top 10 peaks for 2θ from 5° to 70°, sorted by position:
- 2θ = 28.98°, rel. 33.2, hkl 0 4 1
- 2θ = 30.60°, rel. 36.4, hkl 1 3 0
- 2θ = 32.03°, rel. 100.0, hkl 1 1 3
- 2θ = 34.02°, rel. 59.2, hkl 1 3 2
- 2θ = 37.62°, rel. 78.1, hkl 1 1 4
- 2θ = 41.97°, rel. 55.4, hkl 1 5 0
- 2θ = 44.63°, rel. 33.6, hkl 1 5 2
- 2θ = 45.03°, rel. 71.7, hkl 2 0 0
- 2θ = 46.83°, rel. 35.1, hkl 0 2 6
- 2θ = 48.35°, rel. 34.8, hkl 0 6 3

Cell: 4.0262 12.7351 12.2227 Å, 90.00 90.00 90.00°
Space group Cmcm (No. 63)
Inequivalent atoms, fractional coordinates:
1 Sm 0.0000 0.1738 0.2500
2 Ge 0.0000 0.1079 0.7500
3 Ge 0.0000 0.3828 0.5499
4 Rh 0.0000 0.0000 0.0000
5 Rh 0.0000 0.1996 0.5716
6 Rh 0.0000 0.4451 0.1420

---

(10)
For Sm2Ge4Rh5, a crystal structure in Alexandria, relaxed with PBE gives the calculated powder X-ray diffraction pattern in this record (Cu Kα (λ = 1.5418 Å)).
Lines closer than 0.1° are merged.

Top 10 peaks for 2θ from 5° to 70°, sorted by position:
- 2θ = 25.71°, rel. 29.3, hkl 1 1 3
- 2θ = 30.57°, rel. 63.6, hkl 0 2 4
- 2θ = 32.48°, rel. 39.5, hkl 1 3 1
- 2θ = 36.64°, rel. 81.3, hkl 2 2 0
- 2θ = 36.92°, rel. 92.9, hkl 1 3 3
- 2θ = 40.10°, rel. 100.0, hkl 2 0 4
- 2θ = 44.67°, rel. 39.1, hkl 1 3 5
- 2θ = 49.69°, rel. 39.8, hkl 0 0 8
- 2θ = 63.29°, rel. 31.5, hkl 2 2 8
- 2θ = 66.64°, rel. 32.1, hkl 2 6 0

Cell: 5.6910 9.6797 14.6795 Å, 90.00 90.00 90.00°
Space group Fmmm (No. 69)
Inequivalent atoms, fractional coordinates:
1 Sm 0.0000 0.0000 0.1270
2 Ge 0.0000 0.1558 0.3693
3 Rh 0.0000 0.0000 0.5000
4 Rh 0.2500 0.2500 0.0000
5 Rh 0.2500 0.2500 0.2500

---

(11)
For SmGe2Rh4, a crystal structure in Alexandria, relaxed with PBE gives the calculated powder X-ray diffraction pattern in this record (Cu Kα (λ = 1.5418 Å)).
Lines closer than 0.1° are merged.

Top 10 peaks for 2θ from 5° to 70°, sorted by position:
- 2θ = 34.57°, rel. 11.8, hkl 4 0 2
- 2θ = 36.46°, rel. 100.0, hkl 2 1 2
- 2θ = 36.82°, rel. 56.1, hkl 5 1 1
- 2θ = 38.48°, rel. 30.7, hkl 6 1 0
- 2θ = 39.63°, rel. 28.2, hkl 7 0 1
- 2θ = 43.51°, rel. 43.5, hkl 0 2 0
- 2θ = 44.44°, rel. 14.1, hkl 3 0 3
- 2θ = 48.20°, rel. 13.0, hkl 8 1 0
- 2θ = 60.30°, rel. 16.2, hkl 7 2 1
- 2θ = 69.62°, rel. 17.3, hkl 9 1 3

Cell: 16.9719 4.1602 6.5569 Å, 90.00 90.00 90.00°
Space group Pnma (No. 62)
Inequivalent atoms, fractional coordinates:
1 Sm 0.1378 0.2500 0.0038
2 Ge 0.0389 0.7500 0.2645
3 Ge 0.2185 0.2500 0.5217
4 Rh 0.0309 0.7500 0.8569
5 Rh 0.0746 0.2500 0.4970
6 Rh 0.1858 0.7500 0.3115
7 Rh 0.1921 0.7500 0.7271